The following is a calculated X-ray powder pattern of ThCdAg. It was derived from a crystal structure in Alexandria, relaxed with PBE, using copper Kα.
Intensities are scaled so that the largest is 100.

Structural model:
Cell: 10.9635 5.0263 6.6212 Å, 90.00 127.12 90.00°
Space group C2/m (No. 12)
Unique sites:
Th 0.9995 0.0000 0.2463
Cd 0.1684 0.5000 0.6675
Ag 0.1658 0.5000 0.1661

Main lines, by angle (5 to 70 degrees two-theta):
two_theta	d_spacing	intensity	index
20.36	4.362	18	1 1 0
34.00	2.637	100	4 0 -2
35.61	2.521	53	3 1 0
35.73	2.513	26	0 2 0
50.01	1.824	11	2 0 2
50.12	1.820	23	4 2 -2
62.93	1.477	23	7 1 -2
63.09	1.474	11	1 3 -2
64.11	1.452	9	3 3 0
67.74	1.383	24	7 1 -4



The following is a calculated X-ray powder pattern of TmCd3Ag2. It was derived from a crystal structure in Alexandria, relaxed with PBE, using copper Kα.
Intensities are scaled so that the largest is 100.

Structural model:
Cell: 14.1324 4.9906 7.8443 Å, 90.00 107.66 90.00°
Space group C2/m (No. 12)
Unique sites:
Tm 0.1381 0.0000 0.2171
Cd 0.0826 0.0000 0.7670
Cd 0.1115 0.5000 0.5678
Cd 0.1889 0.5000 0.9969
Ag 0.0195 0.5000 0.1868
Ag 0.2452 0.0000 0.6135

Main lines, by angle (5 to 70 degrees two-theta):
two_theta	d_spacing	intensity	index
30.68	2.914	23	2 0 2
32.19	2.781	31	1 1 2
34.38	2.608	25	2 0 -3
35.99	2.495	67	0 2 0
36.59	2.456	95	5 1 -1
40.03	2.252	100	3 1 2
48.00	1.895	14	2 2 2
50.62	1.803	16	2 2 -3
62.05	1.496	17	0 0 5
65.09	1.433	17	5 3 -1



The following is a calculated X-ray powder pattern of TmCd5Ag6. It was derived from a crystal structure in Alexandria, relaxed with PBE, using copper Kα.
Intensities are scaled so that the largest is 100.

Structural model:
Cell: 4.7689 7.1075 7.4238 Å, 90.15 107.94 90.08°
Space group P-1 (No. 2)
Unique sites:
Tm 0.0000 0.0000 0.0000
Cd 0.0000 0.5000 0.0000
Cd 0.3416 0.0002 0.6680
Cd 0.3446 0.5005 0.6739
Ag 0.1610 0.7449 0.3395
Ag 0.1618 0.2557 0.3399
Ag 0.4994 0.7462 0.0002

Main lines, by angle (5 to 70 degrees two-theta):
two_theta	d_spacing	intensity	index
36.67	2.451	52	1 -2 1
36.79	2.443	51	1 2 1
37.01	2.429	100	1 2 -2
37.73	2.384	47	2 0 -1
38.23	2.354	46	0 0 3
51.43	1.777	19	0 4 0
54.39	1.687	16	2 0 2
55.21	1.664	15	2 0 -4
65.52	1.425	17	2 4 -1
67.83	1.382	16	3 2 -3



The following is a calculated X-ray powder pattern of TmCd6Ag6. It was derived from a crystal structure in Alexandria, relaxed with PBE, using copper Kα.
Intensities are scaled so that the largest is 100.

Structural model:
Cell: 5.5977 9.7223 9.9053 Å, 90.00 90.00 90.00°
Space group Immm (No. 71)
Unique sites:
Tm 0.0000 0.0000 0.0000
Cd 0.0000 0.0000 0.3440
Cd 0.0000 0.3437 0.0000
Cd 0.0000 0.5000 0.3109
Ag 0.0000 0.2754 0.5000
Ag 0.2500 0.2500 0.2500

Main lines, by angle (5 to 70 degrees two-theta):
two_theta	d_spacing	intensity	index
31.46	2.844	42	1 0 3
31.94	2.802	49	2 0 0
36.28	2.476	33	0 0 4
36.61	2.455	81	1 2 3
36.86	2.439	100	2 0 2
37.02	2.428	89	0 4 0
40.90	2.206	33	0 2 4
41.44	2.179	89	2 2 2
65.65	1.422	35	2 0 6
66.40	1.408	22	1 6 3